Entry 1:
Diffraction record for H4Pd8Pt. The powder XRD pattern is theoretical, not measured: it uses a structure optimized by DFT (PBE) and Cu Kα (weighted mean of Kα1 and Kα2).
Intensities are scaled so that the largest is 100.

Most intense lines, 2θ from 10° to 90°, low angle first:
d (Å)  Rel. int.
2.324  51
2.310  51
2.302  100
2.036  35
1.993  32
1.973  31
1.431  11
1.417  11
1.198  12
1.193  17

Crystal structure
Unit cell a=4.9225 b=5.7261 c=6.2677 alpha=103.83 beta=96.28 gamma=107.85
Fractional positions:
H 0.0578 0.4827 0.3440
H 0.2509 0.1624 0.9104
H 0.7491 0.8376 0.0896
H 0.9422 0.5173 0.6560
Pd 0.1073 0.1907 0.1931
Pd 0.1177 0.7134 0.1938
Pd 0.2978 0.0975 0.6077
Pd 0.3144 0.6104 0.6094
Pd 0.6856 0.3896 0.3906
Pd 0.7022 0.9025 0.3923
Pd 0.8823 0.2866 0.8062
Pd 0.8927 0.8093 0.8069
Pt 0.5000 0.5000 0.0000

---

Entry 2:
Diffraction record for Nd3Sm2Hg7. The powder XRD pattern is theoretical, not measured: it uses a structure optimized by DFT (PBE) and Cu Kα (weighted mean of Kα1 and Kα2).
Intensities are scaled so that the largest is 100.

Most intense lines, 2θ from 10° to 90°, low angle first:
d (Å)  Rel. int.
5.600  11
3.496  11
2.966  28
2.800  44
2.621  37
2.521  100
1.914  30
1.557  23
1.493  20
1.368  10

Crystal structure
Unit cell a=12.0175 b=12.0175 c=5.6000 alpha=90.00 beta=90.00 gamma=154.80
Fractional positions:
Nd 0.0000 0.0000 0.0000
Nd 0.1701 0.8299 0.0000
Nd 0.8299 0.1701 0.0000
Sm 0.3577 0.6423 0.5000
Sm 0.6423 0.3577 0.5000
Hg 0.0739 0.9261 0.5000
Hg 0.2239 0.7761 0.5000
Hg 0.4153 0.5847 0.0000
Hg 0.5000 0.5000 0.5000
Hg 0.5847 0.4153 0.0000
Hg 0.7761 0.2239 0.5000
Hg 0.9261 0.0739 0.5000

---

Entry 3:
Diffraction record for Mg2ZnIn. The powder XRD pattern is theoretical, not measured: it uses a structure optimized by DFT (PBE) and Cu Kα (weighted mean of Kα1 and Kα2).
Intensities are scaled so that the largest is 100.

Most intense lines, 2θ from 10° to 90°, low angle first:
d (Å)  Rel. int.
5.369  68
3.437  88
3.397  58
3.351  66
2.705  69
2.683  82
2.302  100
2.237  63
2.216  76
2.178  76

Crystal structure
Unit cell a=5.6951 b=4.4740 c=7.1087 alpha=90.00 beta=109.47 gamma=90.00
Fractional positions:
Mg 0.1557 0.2500 0.4261
Mg 0.2143 0.2500 0.9124
Mg 0.7857 0.7500 0.0876
Mg 0.8443 0.7500 0.5739
Zn 0.3575 0.7500 0.6988
Zn 0.6425 0.2500 0.3012
In 0.3314 0.7500 0.2223
In 0.6686 0.2500 0.7777

---

Entry 4:
Diffraction record for Cs2Pa3S9. The powder XRD pattern is theoretical, not measured: it uses a structure optimized by DFT (PBE) and Cu Kα (weighted mean of Kα1 and Kα2).
Intensities are scaled so that the largest is 100.

Most intense lines, 2θ from 10° to 90°, low angle first:
d (Å)  Rel. int.
7.637  74
5.191  26
4.293  100
3.907  38
3.818  33
3.173  27
3.159  25
2.595  28
2.209  25
2.009  20

Crystal structure
Unit cell a=9.7297 b=9.7726 c=11.1277 alpha=103.15 beta=102.71 gamma=103.11
Fractional positions:
Cs 0.0366 0.0215 0.2485
Cs 0.3614 0.3758 0.7461
Cs 0.6386 0.6242 0.2539
Cs 0.9634 0.9785 0.7515
Pa 0.0000 0.5000 0.0000
Pa 0.1627 0.6678 0.4947
Pa 0.3344 0.8325 0.9974
Pa 0.5000 0.0000 0.5000
Pa 0.6656 0.1675 0.0026
Pa 0.8373 0.3322 0.5053
S 0.0429 0.6244 0.2474
S 0.0478 0.7652 0.9674
S 0.1006 0.3820 0.4676
S 0.2318 0.9570 0.5321
S 0.2730 0.7255 0.7458
S 0.2873 0.5672 0.0282
S 0.3794 0.1027 0.9771
S 0.3918 0.9361 0.2490
S 0.4356 0.7178 0.4793
S 0.5644 0.2822 0.5207
S 0.6082 0.0639 0.7510
S 0.6206 0.8973 0.0229
S 0.7127 0.4328 0.9718
S 0.7270 0.2745 0.2542
S 0.7682 0.0430 0.4679
S 0.8994 0.6180 0.5324
S 0.9522 0.2348 0.0326
S 0.9571 0.3756 0.7526

---

Entry 5:
Diffraction record for CoCuRe4. The powder XRD pattern is theoretical, not measured: it uses a structure optimized by DFT (PBE) and Cu Kα (weighted mean of Kα1 and Kα2).
Intensities are scaled so that the largest is 100.

Most intense lines, 2θ from 10° to 90°, low angle first:
d (Å)  Rel. int.
4.180  64
2.183  100
2.090  75
1.810  25
1.661  16
1.393  31
1.280  32
1.224  12
1.104  12
1.092  30

Crystal structure
Unit cell a=5.1199 b=5.1199 c=5.1199 alpha=60.00 beta=60.00 gamma=60.00
Fractional positions:
Co 0.0000 0.0000 0.0000
Cu 0.2500 0.2500 0.2500
Re 0.1256 0.6248 0.6248
Re 0.6248 0.1256 0.6248
Re 0.6248 0.6248 0.1256
Re 0.6248 0.6248 0.6248

---

Entry 6:
Diffraction record for K4BaGe3O9. The powder XRD pattern is theoretical, not measured: it uses a structure optimized by DFT (PBE) and Cu Kα (weighted mean of Kα1 and Kα2).
Intensities are scaled so that the largest is 100.

Most intense lines, 2θ from 10° to 90°, low angle first:
d (Å)  Rel. int.
6.270  47
4.491  25
4.445  30
3.137  72
3.023  100
2.995  78
2.889  48
2.770  31
2.124  29
1.879  23

Crystal structure
Unit cell a=7.5809 b=7.5809 c=11.5560 alpha=90.41 beta=90.41 gamma=111.60
Fractional positions:
K 0.0000 0.0000 0.0000
K 0.1466 0.7430 0.7451
K 0.2570 0.8534 0.2549
K 0.2798 0.2790 0.7500
K 0.5223 0.4777 0.0000
K 0.5720 0.4280 0.5000
K 0.7210 0.7202 0.2500
K 0.9785 0.0215 0.5000
Ba 0.7500 0.2291 0.2298
Ba 0.7709 0.2500 0.7702
Ge 0.0811 0.5339 0.0342
Ge 0.0853 0.5218 0.4760
Ge 0.2387 0.3233 0.2575
Ge 0.4661 0.9189 0.9658
Ge 0.4782 0.9147 0.5240
Ge 0.6767 0.7613 0.7425
O 0.0353 0.4048 0.6085
O 0.0509 0.1033 0.2451
O 0.0795 0.3793 0.9217
O 0.2157 0.5017 0.1594
O 0.2177 0.7823 0.0000
O 0.2242 0.7758 0.5000
O 0.2395 0.4209 0.4026
O 0.4633 0.1340 0.9163
O 0.4672 0.3299 0.2400
O 0.4787 0.1010 0.6131
O 0.4983 0.7843 0.8406
O 0.5791 0.7605 0.5974
O 0.5952 0.9647 0.3915
O 0.6207 0.9205 0.0783
O 0.6701 0.5328 0.7600
O 0.8660 0.5367 0.0837
O 0.8967 0.9491 0.7549
O 0.8990 0.5213 0.3869

---

Entry 7:
Diffraction record for Sm8AgHg2. The powder XRD pattern is theoretical, not measured: it uses a structure optimized by DFT (PBE) and Cu Kα (weighted mean of Kα1 and Kα2).
Intensities are scaled so that the largest is 100.

Most intense lines, 2θ from 10° to 90°, low angle first:
d (Å)  Rel. int.
2.810  100
2.788  97
2.706  44
2.696  55
2.056  15
1.910  32
1.635  13
1.586  13
1.577  19
1.574  28

Crystal structure
Unit cell a=9.4538 b=9.4538 c=6.7657 alpha=92.67 beta=92.67 gamma=33.13
Fractional positions:
Sm 0.0329 0.0329 0.2589
Sm 0.2101 0.2101 0.0854
Sm 0.3265 0.3265 0.5940
Sm 0.4079 0.4079 0.0898
Sm 0.5921 0.5921 0.9102
Sm 0.6735 0.6735 0.4060
Sm 0.7899 0.7899 0.9146
Sm 0.9671 0.9671 0.7411
Ag 0.5000 0.5000 0.5000
Hg 0.1512 0.1512 0.6422
Hg 0.8488 0.8488 0.3578

---

Entry 8:
Diffraction record for Er4SnRu2. The powder XRD pattern is theoretical, not measured: it uses a structure optimized by DFT (PBE) and Cu Kα (weighted mean of Kα1 and Kα2).
Intensities are scaled so that the largest is 100.

Most intense lines, 2θ from 10° to 90°, low angle first:
d (Å)  Rel. int.
2.929  27
2.908  22
2.747  16
2.737  34
2.663  100
2.653  25
2.542  24
2.513  18
2.446  21
1.932  15

Crystal structure
Unit cell a=5.9562 b=7.7830 c=8.3365 alpha=116.76 beta=100.28 gamma=96.71
Fractional positions:
Er 0.0000 0.0000 0.0000
Er 0.0725 0.9217 0.3909
Er 0.1735 0.4807 0.2812
Er 0.2679 0.4148 0.6671
Er 0.4929 0.8355 0.1203
Er 0.5842 0.3283 0.0856
Er 0.6918 0.1448 0.6202
Er 0.7800 0.5691 0.5660
Sn 0.3650 0.8623 0.7166
Sn 0.9435 0.5619 0.9572
Ru 0.1550 0.2057 0.8342
Ru 0.3903 0.2006 0.3337
Ru 0.5831 0.7493 0.4003
Ru 0.8668 0.2075 0.3307

---

Entry 9:
Diffraction record for SeBr3F. The powder XRD pattern is theoretical, not measured: it uses a structure optimized by DFT (PBE) and Cu Kα (weighted mean of Kα1 and Kα2).
Intensities are scaled so that the largest is 100.

Most intense lines, 2θ from 10° to 90°, low angle first:
d (Å)  Rel. int.
5.755  24
5.230  100
4.774  27
4.215  38
3.987  45
3.373  48
2.730  28
2.501  27
2.325  25
2.180  48

Crystal structure
Unit cell a=10.8952 b=5.8707 c=12.3844 alpha=90.00 beta=111.65 gamma=90.00
Fractional positions:
Se 0.1910 0.1119 0.0076
Se 0.1910 0.3881 0.5076
Se 0.8090 0.6119 0.4924
Se 0.8090 0.8881 0.9924
Br 0.0905 0.7482 0.0917
Br 0.0905 0.7518 0.5917
Br 0.1609 0.5907 0.3330
Br 0.1609 0.9093 0.8330
Br 0.4108 0.0139 0.1295
Br 0.4108 0.4861 0.6295
Br 0.5892 0.5139 0.3705
Br 0.5892 0.9861 0.8705
Br 0.8391 0.0907 0.1670
Br 0.8391 0.4093 0.6670
Br 0.9095 0.2482 0.4083
Br 0.9095 0.2518 0.9083
F 0.2426 0.1289 0.4544
F 0.2426 0.3711 0.9544
F 0.7574 0.6289 0.0456
F 0.7574 0.8711 0.5456

---

Entry 10:
Diffraction record for Pm3Dy3Au4. The powder XRD pattern is theoretical, not measured: it uses a structure optimized by DFT (PBE) and Cu Kα (weighted mean of Kα1 and Kα2).
Intensities are scaled so that the largest is 100.

Most intense lines, 2θ from 10° to 90°, low angle first:
d (Å)  Rel. int.
2.823  32
2.681  97
2.661  100
2.629  49
2.601  46
1.931  32
1.556  20
1.551  19
1.435  17
1.420  17

Crystal structure
Unit cell a=3.8624 b=8.2709 c=8.2709 alpha=91.02 beta=90.00 gamma=90.00
Fractional positions:
Pm 0.0000 0.0000 0.0000
Pm 0.0000 0.4929 0.8235
Pm 0.0000 0.8235 0.4929
Dy 0.0000 0.3290 0.3290
Dy 0.5000 0.1582 0.6602
Dy 0.5000 0.6602 0.1582
Au 0.5000 0.0379 0.2972
Au 0.5000 0.2972 0.0379
Au 0.5000 0.5260 0.5260
Au 0.5000 0.7918 0.7918

---

Entry 11:
Diffraction record for Rb6ReP4. The powder XRD pattern is theoretical, not measured: it uses a structure optimized by DFT (PBE) and Cu Kα (weighted mean of Kα1 and Kα2).
Intensities are scaled so that the largest is 100.

Most intense lines, 2θ from 10° to 90°, low angle first:
d (Å)  Rel. int.
6.140  42
4.013  41
3.766  38
3.257  22
3.200  100
3.070  46
2.870  27
2.652  54
2.637  25
1.877  26

Crystal structure
Unit cell a=10.6038 b=10.6038 c=8.2572 alpha=90.00 beta=90.00 gamma=120.00
Fractional positions:
Rb 0.0653 0.5326 0.0000
Rb 0.1404 0.2808 0.3184
Rb 0.1404 0.8596 0.3184
Rb 0.2808 0.1404 0.8184
Rb 0.4674 0.5326 0.0000
Rb 0.4674 0.9347 0.0000
Rb 0.5326 0.0653 0.5000
Rb 0.5326 0.4674 0.5000
Rb 0.7192 0.8596 0.3184
Rb 0.8596 0.1404 0.8184
Rb 0.8596 0.7192 0.8184
Rb 0.9347 0.4674 0.5000
Re 0.3333 0.6667 0.6050
Re 0.6667 0.3333 0.1050
P 0.2160 0.4321 0.6953
P 0.2160 0.7840 0.6953
P 0.3333 0.6667 0.3278
P 0.4321 0.2160 0.1953
P 0.5679 0.7840 0.6953
P 0.6667 0.3333 0.8278
P 0.7840 0.2160 0.1953
P 0.7840 0.5679 0.1953

---

Entry 12:
Diffraction record for Pr3Pu4Te8. The powder XRD pattern is theoretical, not measured: it uses a structure optimized by DFT (PBE) and Cu Kα (weighted mean of Kα1 and Kα2).
Intensities are scaled so that the largest is 100.

Most intense lines, 2θ from 10° to 90°, low angle first:
d (Å)  Rel. int.
7.310  15
3.167  100
3.158  50
2.238  96
2.233  19
1.827  42
1.416  32
1.413  18
1.293  20
1.291  13

Crystal structure
Unit cell a=8.9472 b=8.9472 c=8.9330 alpha=119.87 beta=119.87 gamma=90.20
Fractional positions:
Pr 0.0000 0.0000 0.0000
Pr 0.0000 0.5000 0.5000
Pr 0.5000 0.0000 0.5000
Pu 0.0000 0.5000 0.0000
Pu 0.5000 0.0000 0.0000
Pu 0.5000 0.5000 0.0000
Pu 0.5000 0.5000 0.5000
Te 0.2472 0.7528 0.5000
Te 0.2503 0.2503 0.5055
Te 0.2502 0.2502 0.9963
Te 0.2522 0.7478 0.0000
Te 0.7478 0.2522 0.0000
Te 0.7498 0.7498 0.0037
Te 0.7497 0.7497 0.4945
Te 0.7528 0.2472 0.5000